Entry 1:
# Mn2Zn12Co
Computed PXRD pattern, Cu Ka. Input: a DFT-relaxed cell (PBE, Alexandria).
Neutral-atom scattering factors, no anomalous dispersion.

Peak list (6 most intense, 2θ = 10–90°, by angle)
d [Å]  2theta  I (rel.)  h k l
2.353  38.25  25  1 0 4
2.202  40.98  52  1 1 2
2.140  42.23  100  0 1 8
2.112  42.81  51  0 2 0
2.056  44.05  40  1 1 4
1.866  48.82  29  1 1 6

Crystal structure
Lattice parameters (Å, degrees): 2.673 4.224 19.856 90.00 90.00 90.00
Space group Pmmm (No. 47)
Inequivalent atoms, fractional coordinates:
Mn 0.000 0.000 0.248 (multiplicity 2)
Zn 0.000 0.500 0.065 (multiplicity 2)
Zn 0.000 0.500 0.436 (multiplicity 2)
Zn 0.500 0.000 0.114 (multiplicity 2)
Zn 0.500 0.000 0.384 (multiplicity 2)
Zn 0.500 0.500 0.188 (multiplicity 2)
Zn 0.500 0.500 0.311 (multiplicity 2)
Co 0.000 0.000 0.000 (multiplicity 1)

=====

Entry 2:
# RePt2Cl
Computed PXRD pattern, Cu Ka. Input: a DFT-relaxed cell (PBE, Alexandria).
Neutral-atom scattering factors, no anomalous dispersion.

Peak list (6 most intense, 2θ = 10–90°, by angle)
d [Å]  2theta  I (rel.)  h k l
6.501  13.62  100  0 0 1
2.825  31.68  20  2 0 -2
2.444  36.78  54  1 1 1
2.191  41.20  20  4 0 0
2.026  44.74  25  1 1 2
1.999  45.36  24  3 1 -1

Crystal structure
Lattice parameters (Å, degrees): 8.867 2.825 6.578 90.00 98.76 90.00
Space group Cm (No. 8)
Inequivalent atoms, fractional coordinates:
Re 0.000 0.000 0.000 (multiplicity 2)
Pt 0.011 0.500 0.660 (multiplicity 2)
Pt 0.259 0.000 0.869 (multiplicity 2)
Cl 0.071 0.500 0.301 (multiplicity 2)